This entry pairs a crystal structure of Li2VP4H8O16 with its calculated X-ray powder pattern. Radiation: copper Kα. Structure: a crystal structure in Alexandria, relaxed with PBE+U.
Intensities are scaled so that the largest is 1000.

Largest 10 diffraction maxima, sorted by position, 2θ from 10° to 90°:
- 2θ 12.98, I 922, (1 0 0)
- 2θ 15.76, I 763, (0 1 1)
- 2θ 18.70, I 1000, (0 1 -1)
- 2θ 21.97, I 330, (-1 1 1)
- 2θ 23.67, I 291, (0 0 2)
- 2θ 23.79, I 316, (1 -1 1)
- 2θ 24.92, I 394, (0 1 2)
- 2θ 26.14, I 333, (2 0 0)
- 2θ 28.47, I 335, (2 1 1)
- 2θ 32.73, I 270, (-2 1 1)

Atomic structure:
```
data_Li2VP4H8O16
_space_group_name_H-M_alt 'P -1'
_space_group_IT_number 2
_cell_length_a 6.922
_cell_length_b 7.218
_cell_length_c 7.640
_cell_angle_alpha 79.87
_cell_angle_beta 86.58
_cell_angle_gamma 80.28
loop_
_space_group_symop_operation_xyz
'x,y,z'
'-x,-y,-z'
loop_
_atom_site_label
_atom_site_type_symbol
_atom_site_fract_x
_atom_site_fract_y
_atom_site_fract_z
_atom_site_occupancy
Li1 Li 0.212 0.305 0.309 1
V1 V 0.000 0.000 0.500 1
P1 P 0.194 0.739 0.188 1
P2 P 0.231 0.271 0.717 1
H1 H 0.108 0.784 0.830 1
H2 H 0.162 0.648 0.688 1
H3 H 0.291 0.005 0.926 1
H4 H 0.478 0.548 0.272 1
O1 O 0.010 0.346 0.790 1
O2 O 0.060 0.756 0.716 1
O3 O 0.204 0.870 0.319 1
O4 O 0.211 0.176 0.558 1
O5 O 0.217 0.825 0.993 1
O6 O 0.325 0.449 0.676 1
O7 O 0.335 0.539 0.235 1
O8 O 0.337 0.135 0.877 1
```